Record 1
For Ac2PmSb3Rh4, a crystal structure in Alexandria, relaxed with PBE gives the calculated X-ray powder pattern in this record (Cu Kα (weighted mean of Kα1 and Kα2)).
Kinematic intensities with the Lorentz-polarization factor, no thermal factor.

The 10 most intense peaks (15 to 90 degrees two-theta), by angle:
d [Å], two_theta, I/Imax, h k l
3.251, 27.4, 130, 1 1 0
2.902, 30.8, 515, 1 0 3
2.813, 31.8, 1000, 1 1 2
2.299, 39.2, 561, 2 0 0
2.124, 42.6, 123, 1 1 4
2.017, 44.9, 212, 1 0 5
1.802, 50.7, 260, 2 1 3
1.626, 56.6, 191, 2 2 0
1.516, 61.1, 170, 2 1 5
1.407, 66.4, 255, 3 1 2

Atomic structure:
```
data_Ac2PmSb3Rh4
_cell_length_a 4.5978
_cell_length_b 4.5978
_cell_length_c 11.2220
_cell_angle_alpha 90.00
_cell_angle_beta 90.00
_cell_angle_gamma 90.00
_symmetry_space_group_name_H-M 'P -4 m 2'
_symmetry_Int_Tables_number 115
_symmetry_space_group_name_Hall 'P -4 -2'
loop_
_atom_site_label
_atom_site_fract_x
_atom_site_fract_y
_atom_site_fract_z
Ac1 0.0000 0.5000 0.2304
Pm1 0.0000 0.0000 0.5000
Sb1 0.0000 0.5000 0.8780
Sb2 0.5000 0.5000 0.5000
Rh1 0.0000 0.0000 0.0000
Rh2 0.0000 0.5000 0.6458
Rh3 0.5000 0.5000 0.0000
```

=====

Record 2
For AcPm4Ru4, a crystal structure in Alexandria, relaxed with PBE gives the calculated X-ray powder pattern in this record (Cu Kα (weighted mean of Kα1 and Kα2)).
Kinematic intensities with the Lorentz-polarization factor, no thermal factor.

The 10 most intense peaks (15 to 90 degrees two-theta), by angle:
d [Å], two_theta, I/Imax, h k l
4.808, 18.5, 234, 1 0 1
3.311, 26.9, 438, 2 1 1
2.888, 31.0, 1000, 1 3 0
2.701, 33.2, 406, 1 0 2
2.325, 38.7, 237, 1 2 2
2.311, 39.0, 185, 2 3 1
2.072, 43.7, 168, 3 0 2
2.062, 43.9, 157, 4 1 1
2.042, 44.4, 305, 4 2 0
1.886, 48.2, 245, 3 2 2

Atomic structure:
```
data_AcPm4Ru4
_cell_length_a 9.1315
_cell_length_b 9.1315
_cell_length_c 5.6549
_cell_angle_alpha 90.00
_cell_angle_beta 90.00
_cell_angle_gamma 90.00
_symmetry_space_group_name_H-M 'P 42/n'
_symmetry_Int_Tables_number 86
loop_
_symmetry_equiv_pos_as_xyz
'x,y,z'
'-x,-y,-z'
'-y,x+1/2,z+1/2'
'y,-x+1/2,-z+1/2'
'-x+1/2,-y+1/2,z'
'x+1/2,y+1/2,-z'
'y+1/2,-x,z+1/2'
'-y+1/2,x,-z+1/2'
loop_
_atom_site_label
_atom_site_fract_x
_atom_site_fract_y
_atom_site_fract_z
Ac1 0.2500 0.2500 0.2500
Pm1 0.0702 0.6686 0.1348
Ru1 0.0206 0.6179 0.6255
```